Ni2Se3: computed XRD peak list (λ = 1.5418 Å (Cu Kα)), based on a crystal structure in OQMD, relaxed with GGA-PBE.
No peak broadening, texture or thermal motion is included.

Crystal structure
a = 7.068 Å, b = 10.085 Å, c = 21.031 Å
α = 90.00°, β = 90.00°, γ = 90.00°
Space group Fddd (No. 70, origin choice 2)
Asymmetric unit:
Ni 0.125 0.125 0.045 x16
Ni 0.125 0.125 0.380 x16
Se 0.107 0.360 0.202 x32
Se 0.113 0.375 0.375 x16

The 10 most intense peaks (2θ = 15–90°), in order of falling intensity:
two_theta  I/Imax  hkl
36.09  100  2 0 6
51.60  65  2 4 6
35.61  52  0 4 0
15.88  42  1 1 1
64.78  19  0 4 12
87.38  18  6 0 6
52.19  17  0 0 12
51.74  16  4 0 0
64.39  16  4 4 0
31.07  12  0 2 6

Ni2Se3: computed XRD peak list (λ = 1.5418 Å (Cu Kα)), based on a crystal structure in OQMD, relaxed with GGA-PBE.
No peak broadening, texture or thermal motion is included.

Crystal structure
a = 6.2653 Å, b = 6.2653 Å, c = 10.2801 Å
α = 90.00°, β = 90.00°, γ = 120.00°
Space group P-31c (No. 163)
Asymmetric unit:
Ni 0.0000 0.0000 0.0000 x2
Ni 0.3333 0.6667 0.0070 x4
Ni 0.3333 0.6667 0.7500 x2
Se 0.0020 0.3320 0.8791 x12

The 10 most intense peaks (2θ = 15–90°), in order of falling intensity:
two_theta  I/Imax  hkl
33.50  100  1 1 2
45.66  55  1 1 4
50.46  45  3 0 0
61.71  17  2 -1 6
61.93  16  4 -2 2
70.39  14  4 -2 4
83.85  14  4 1 2
17.25  11  0 0 2
83.65  7  2 2 6
18.49  7  1 0 1

Ni3Se: computed XRD peak list (λ = 1.5418 Å (Cu Kα)), based on a crystal structure in OQMD, relaxed with GGA-PBE.
No peak broadening, texture or thermal motion is included.

Crystal structure
a = 5.1805 Å, b = 5.1805 Å, c = 4.1726 Å
α = 90.00°, β = 90.00°, γ = 120.00°
Space group P6_3/mmc (No. 194)
Asymmetric unit:
Ni 0.1633 0.3265 0.2500 x6
Se 0.3333 0.6667 0.7500 x2

The 9 most intense peaks (2θ = 15–90°), in order of falling intensity:
two_theta  I/Imax  hkl
45.93  100  2 0 1
43.37  27  0 0 2
40.20  25  2 0 0
88.95  18  2 2 2
81.41  17  2 0 3
73.06  15  2 2 0
60.61  14  2 0 2
86.84  2  4 0 0
29.23  1  1 0 1

Ni3SnSe4: computed XRD peak list (λ = 1.5418 Å (Cu Kα)), based on a crystal structure in OQMD, relaxed with GGA-PBE.
No peak broadening, texture or thermal motion is included.

Crystal structure
a = 5.571 Å, b = 5.571 Å, c = 11.069 Å
α = 90.00°, β = 90.00°, γ = 90.00°
Space group I-42m (No. 121)
Asymmetric unit:
Ni 0.000 0.000 0.000 x2
Ni 0.000 0.500 0.250 x4
Sn 0.000 0.000 0.500 x2
Se 0.221 0.221 0.140 x8

The 10 most intense peaks (2θ = 15–90°), in order of falling intensity:
two_theta  I/Imax  hkl
27.80  100  1 1 2
46.24  45  2 0 4
54.67  26  3 1 2
46.08  23  2 2 0
54.96  13  1 1 6
85.47  12  4 2 4
74.47  9  3 1 6
36.98  8  2 1 1
67.21  6  4 0 0
85.83  6  2 2 8

ZnNiSnSe3: computed XRD peak list (λ = 1.5418 Å (Cu Kα)), based on a crystal structure in OQMD, relaxed with GGA-PBE.
No peak broadening, texture or thermal motion is included.

Crystal structure
a = 3.748 Å, b = 14.312 Å, c = 9.330 Å
α = 90.00°, β = 90.00°, γ = 90.00°
Space group Cmcm (No. 63)
Asymmetric unit:
Zn 0.000 0.000 0.000 x4
Ni 0.000 0.474 0.250 x4
Sn 0.000 0.238 0.750 x4
Se 0.000 0.076 0.250 x4
Se 0.000 0.361 0.063 x8

The 10 most intense peaks (2θ = 15–90°), in order of falling intensity:
two_theta  I/Imax  hkl
31.84  100  1 3 1
36.04  63  1 3 2
38.12  32  1 1 3
48.58  28  2 0 0
42.57  26  0 6 2
38.60  25  0 0 4
31.51  24  0 4 2
58.54  24  1 3 5
31.36  23  0 2 3
42.24  17  1 3 3

Ta2NiSe7: computed XRD peak list (λ = 1.5418 Å (Cu Kα)), based on a crystal structure in OQMD, relaxed with GGA-PBE.
No peak broadening, texture or thermal motion is included.

Crystal structure
a = 14.429 Å, b = 3.513 Å, c = 18.651 Å
α = 90.00°, β = 108.00°, γ = 90.00°
Space group C2/m (No. 12)
Asymmetric unit:
Ta 0.152 0.000 0.400 x4
Ta 0.229 0.000 0.090 x4
Ni 0.190 0.500 0.209 x4
Se 0.024 0.500 0.420 x4
Se 0.068 0.500 0.295 x4
Se 0.085 0.000 0.139 x4
Se 0.139 0.500 0.988 x4
Se 0.158 0.000 0.826 x4
Se 0.203 0.000 0.555 x4
Se 0.243 0.500 0.701 x4

The 10 most intense peaks (2θ = 15–90°), in order of falling intensity:
two_theta  I/Imax  hkl
15.22  100  2 0 1
41.38  86  3 1 4
34.42  83  1 1 4
31.31  81  1 1 3
51.53  62  3 1 -9
40.45  61  5 1 -2
33.34  45  4 0 -6
33.48  44  3 1 1
52.06  43  0 2 0
32.13  40  3 1 0